Record 1
For Nd6GaTe3, a cell relaxed with PBE gives the simulated XRD peak list in this record (CuKα).
Lines closer than 0.1° are merged.

The 10 most intense peaks (2θ from 10° to 90°), in order of rising 2θ:
| two_theta | Rel. int. |
| --- | --- |
| 24.24 | 60 |
| 25.62 | 55 |
| 27.98 | 82 |
| 28.33 | 68 |
| 29.28 | 54 |
| 30.90 | 75 |
| 31.55 | 83 |
| 35.72 | 100 |
| 38.47 | 68 |
| 43.38 | 74 |

Cell lengths 12.499, 4.172, 13.036 Å; angles 90.00, 105.39, 90.00 degrees
Atoms (fractional coordinates):
Nd 0.005 0.250 0.354
Nd 0.100 0.250 0.904
Nd 0.254 0.750 0.292
Nd 0.301 0.750 0.750
Nd 0.392 0.250 0.540
Nd 0.427 0.750 0.121
Nd 0.573 0.250 0.879
Nd 0.608 0.750 0.460
Nd 0.699 0.250 0.250
Nd 0.746 0.250 0.708
Nd 0.900 0.750 0.096
Nd 0.995 0.750 0.646
Ga 0.457 0.250 0.310
Ga 0.543 0.750 0.690
Te 0.095 0.250 0.146
Te 0.175 0.750 0.503
Te 0.352 0.250 0.937
Te 0.648 0.750 0.063
Te 0.825 0.250 0.497
Te 0.905 0.750 0.854

Record 2
For Nd3GaTe, a cell relaxed with PBE gives the simulated XRD peak list in this record (CuKα).
Lines closer than 0.1° are merged.

The 10 most intense peaks (2θ from 10° to 90°), in order of rising 2θ:
| two_theta | Rel. int. |
| --- | --- |
| 15.97 | 12 |
| 23.00 | 12 |
| 24.41 | 52 |
| 28.52 | 10 |
| 33.78 | 100 |
| 42.95 | 28 |
| 46.96 | 12 |
| 53.65 | 13 |
| 55.73 | 15 |
| 65.53 | 13 |

Cell lengths 8.807, 8.807, 8.807 Å; angles 48.93, 48.93, 48.93 degrees
Atoms (fractional coordinates):
Nd 0.092 0.461 0.701
Nd 0.299 0.539 0.908
Nd 0.461 0.701 0.092
Nd 0.539 0.908 0.299
Nd 0.701 0.092 0.461
Nd 0.908 0.299 0.539
Ga 0.331 0.331 0.331
Ga 0.669 0.669 0.669
Te 0.150 0.150 0.150
Te 0.850 0.850 0.850

Record 3
For NdThGa6, a cell relaxed with PBE gives the simulated XRD peak list in this record (CuKα).
Lines closer than 0.1° are merged.

The 10 most intense peaks (2θ from 10° to 90°), in order of rising 2θ:
| two_theta | Rel. int. |
| --- | --- |
| 24.98 | 35 |
| 27.66 | 15 |
| 32.05 | 26 |
| 37.61 | 100 |
| 38.89 | 22 |
| 42.84 | 11 |
| 51.25 | 14 |
| 57.13 | 16 |
| 69.59 | 16 |
| 71.27 | 16 |

Cell lengths 6.450, 6.450, 4.631 Å; angles 90.00, 90.00, 120.00 degrees
Atoms (fractional coordinates):
Nd 0.000 0.000 0.000
Th 0.667 0.333 0.500
Ga 0.049 0.525 0.000
Ga 0.190 0.380 0.500
Ga 0.190 0.810 0.500
Ga 0.475 0.525 0.000
Ga 0.475 0.951 0.000
Ga 0.620 0.810 0.500

Record 4
For Nd2ThGa4, a cell relaxed with PBE gives the simulated XRD peak list in this record (CuKα).
Lines closer than 0.1° are merged.

The 10 most intense peaks (2θ from 10° to 90°), in order of rising 2θ:
| two_theta | Rel. int. |
| --- | --- |
| 25.48 | 27 |
| 28.35 | 19 |
| 31.03 | 100 |
| 31.32 | 55 |
| 35.22 | 33 |
| 39.69 | 29 |
| 41.39 | 31 |
| 43.05 | 22 |
| 54.19 | 24 |
| 58.69 | 19 |

Cell lengths 4.203, 4.363, 18.891 Å; angles 90.00, 90.00, 90.00 degrees
Atoms (fractional coordinates):
Nd 0.000 0.000 0.184
Nd 0.000 0.000 0.816
Nd 0.500 0.500 0.316
Nd 0.500 0.500 0.684
Th 0.000 0.500 0.500
Th 0.500 0.000 0.000
Ga 0.000 0.000 0.358
Ga 0.000 0.000 0.642
Ga 0.000 0.500 0.066
Ga 0.000 0.500 0.934
Ga 0.500 0.000 0.434
Ga 0.500 0.000 0.566
Ga 0.500 0.500 0.142
Ga 0.500 0.500 0.858

Record 5
For Nd3TlGa2, a cell relaxed with PBE gives the simulated XRD peak list in this record (CuKα).
Lines closer than 0.1° are merged.

The 10 most intense peaks (2θ from 10° to 90°), in order of rising 2θ:
| two_theta | Rel. int. |
| --- | --- |
| 28.47 | 9 |
| 33.48 | 100 |
| 33.88 | 50 |
| 47.47 | 8 |
| 48.67 | 18 |
| 59.59 | 17 |
| 60.36 | 37 |
| 70.34 | 10 |
| 81.09 | 8 |
| 81.32 | 8 |

Cell lengths 3.742, 3.742, 11.492 Å; angles 90.00, 90.00, 90.00 degrees
Atoms (fractional coordinates):
Nd 0.000 0.000 0.000
Nd 0.000 0.000 0.317
Nd 0.000 0.000 0.683
Tl 0.500 0.500 0.500
Ga 0.500 0.500 0.160
Ga 0.500 0.500 0.840

Record 6
For Nd10Tl3Ga3, a cell relaxed with PBE gives the simulated XRD peak list in this record (CuKα).
Lines closer than 0.1° are merged.

The 10 most intense peaks (2θ from 10° to 90°), in order of rising 2θ:
| two_theta | Rel. int. |
| --- | --- |
| 25.65 | 20 |
| 28.09 | 15 |
| 30.12 | 33 |
| 32.48 | 76 |
| 32.82 | 100 |
| 34.26 | 29 |
| 43.56 | 14 |
| 47.93 | 14 |
| 49.96 | 31 |
| 65.21 | 19 |

Cell lengths 9.066, 9.066, 6.947 Å; angles 90.00, 90.00, 120.00 degrees
Atoms (fractional coordinates):
Nd 0.000 0.236 0.000
Nd 0.000 0.761 0.500
Nd 0.236 0.000 0.000
Nd 0.239 0.239 0.500
Nd 0.333 0.667 0.261
Nd 0.333 0.667 0.739
Nd 0.667 0.333 0.261
Nd 0.667 0.333 0.739
Nd 0.761 0.000 0.500
Nd 0.764 0.764 0.000
Tl 0.000 0.594 0.000
Tl 0.406 0.406 0.000
Tl 0.594 0.000 0.000
Ga 0.000 0.403 0.500
Ga 0.403 0.000 0.500
Ga 0.597 0.597 0.500

Record 7
For NdTm6Ga3, a cell relaxed with PBE gives the simulated XRD peak list in this record (CuKα).
Lines closer than 0.1° are merged.

The 10 most intense peaks (2θ from 10° to 90°), in order of rising 2θ:
| two_theta | Rel. int. |
| --- | --- |
| 25.86 | 38 |
| 27.56 | 48 |
| 28.60 | 32 |
| 30.30 | 100 |
| 31.04 | 93 |
| 34.14 | 34 |
| 34.39 | 95 |
| 34.88 | 85 |
| 35.06 | 75 |
| 35.71 | 85 |

Cell lengths 8.218, 8.218, 8.221 Å; angles 90.00, 90.00, 100.55 degrees
Atoms (fractional coordinates):
Nd 0.173 0.827 0.500
Nd 0.827 0.173 0.000
Tm 0.094 0.443 0.723
Tm 0.097 0.234 0.363
Tm 0.234 0.097 0.863
Tm 0.277 0.723 0.020
Tm 0.443 0.094 0.223
Tm 0.467 0.533 0.343
Tm 0.533 0.467 0.843
Tm 0.557 0.906 0.723
Tm 0.723 0.277 0.520
Tm 0.766 0.903 0.363
Tm 0.903 0.766 0.863
Tm 0.906 0.557 0.223
Ga 0.071 0.929 0.165
Ga 0.222 0.378 0.063
Ga 0.378 0.222 0.563
Ga 0.622 0.778 0.063
Ga 0.778 0.622 0.563
Ga 0.929 0.071 0.665

Record 8
For Nd5TmGa6, a cell relaxed with PBE gives the simulated XRD peak list in this record (CuKα).
Lines closer than 0.1° are merged.

The 10 most intense peaks (2θ from 10° to 90°), in order of rising 2θ:
| two_theta | Rel. int. |
| --- | --- |
| 24.23 | 14 |
| 34.57 | 100 |
| 34.64 | 50 |
| 49.65 | 18 |
| 49.90 | 9 |
| 61.94 | 36 |
| 62.11 | 17 |
| 73.05 | 11 |
| 83.20 | 15 |
| 83.62 | 7 |

Cell lengths 8.989, 8.989, 5.193 Å; angles 106.76, 106.76, 120.20 degrees
Atoms (fractional coordinates):
Nd 0.000 0.000 0.000
Nd 0.163 0.837 0.500
Nd 0.327 0.673 0.000
Nd 0.673 0.327 0.000
Nd 0.837 0.163 0.500
Tm 0.500 0.500 0.500
Ga 0.098 0.422 0.260
Ga 0.268 0.268 0.768
Ga 0.422 0.098 0.260
Ga 0.578 0.902 0.740
Ga 0.732 0.732 0.232
Ga 0.902 0.578 0.740